Structure and computed PXRD pattern of LaH20 (a DFT-relaxed cell (GGA-PBE, the Materials Project); Cu Kα).
Peak positions follow from Bragg's law for the DFT cell and can differ from measured ones.

Structural model:
```
data_LaH20
_chemical_formula_sum 'La3 H60'
_cell_length_a 7.3108
_cell_length_b 7.3108
_cell_length_c 13.1063
_cell_angle_alpha 90.00
_cell_angle_beta 90.00
_cell_angle_gamma 120.00
_symmetry_space_group_name_H-M 'R -3 m'
_symmetry_Int_Tables_number 166
_symmetry_space_group_name_Hall '-R 3 2"'
loop_
_atom_site_label
_atom_site_type_symbol
_atom_site_fract_x
_atom_site_fract_y
_atom_site_fract_z
La1 La 0.0000 0.0000 0.0000
H1 H 0.0000 0.0000 0.1711
H2 H 0.0000 0.4482 0.0000
H3 H 0.0088 0.5044 0.2385
H4 H 0.0816 0.5408 0.8037
```

The 10 most intense peaks (2θ from 10° to 90°), in order of falling intensity:
| 2theta | d/Å | I (rel.) |
| --- | --- | --- |
| 15.5 | 5.701 | 100.0 |
| 19.5 | 4.553 | 58.7 |
| 31.9 | 2.803 | 32.4 |
| 24.4 | 3.655 | 32.0 |
| 29.0 | 3.077 | 27.1 |
| 38.2 | 2.354 | 19.8 |
| 40.1 | 2.248 | 19.5 |
| 20.3 | 4.369 | 16.8 |
| 30.7 | 2.910 | 16.3 |
| 31.4 | 2.850 | 15.9 |


Structure and computed PXRD pattern of GdH2I3O10 (a DFT-relaxed cell (GGA-PBE, the Materials Project); Cu Kα).
Peak positions follow from Bragg's law for the DFT cell and can differ from measured ones.

Structural model:
```
data_GdH2I3O10
_chemical_formula_sum 'Gd2 H4 I6 O20'
_cell_length_a 7.3913
_cell_length_b 6.6921
_cell_length_c 10.1150
_cell_angle_alpha 90.00
_cell_angle_beta 109.89
_cell_angle_gamma 90.00
_symmetry_space_group_name_H-M 'P 1 21 1'
_symmetry_Int_Tables_number 4
_symmetry_space_group_name_Hall 'P 2yb'
loop_
_atom_site_label
_atom_site_type_symbol
_atom_site_fract_x
_atom_site_fract_y
_atom_site_fract_z
Gd1 Gd 0.2393 0.0000 0.3092
H1 H 0.2107 0.3150 0.9169
H2 H 0.4020 0.2175 0.0180
I1 I 0.1402 0.8414 0.9131
I2 I 0.1616 0.4790 0.5351
I3 I 0.4744 0.5281 0.2801
O1 O 0.0328 0.5882 0.8948
O2 O 0.0378 0.3676 0.6472
O3 O 0.0903 0.2848 0.3977
O4 O 0.2632 0.8275 0.1043
O5 O 0.2926 0.1964 0.9304
O6 O 0.3004 0.6468 0.3523
O7 O 0.3385 0.9562 0.5567
O8 O 0.3395 0.7862 0.8522
O9 O 0.3426 0.2929 0.2316
O10 O 0.4089 0.4064 0.6371
```

The 10 most intense peaks (2θ from 10° to 90°), in order of falling intensity:
| 2theta | d/Å | I (rel.) |
| --- | --- | --- |
| 27.6 | 3.234 | 100.0 |
| 29.4 | 3.042 | 87.2 |
| 26.6 | 3.346 | 87.1 |
| 22.6 | 3.941 | 65.9 |
| 26.1 | 3.419 | 60.6 |
| 22.9 | 3.876 | 47.6 |
| 28.3 | 3.156 | 45.0 |
| 29.9 | 2.993 | 41.0 |
| 18.6 | 4.777 | 37.1 |
| 44.9 | 2.018 | 27.9 |


Structure and computed PXRD pattern of Li3BiB2O6 (a DFT-relaxed cell (GGA-PBE, the Materials Project); Cu Kα).
Peak positions follow from Bragg's law for the DFT cell and can differ from measured ones.

Structural model:
```
data_Li3BiB2O6
_chemical_formula_sum 'Li12 Bi4 B8 O24'
_cell_length_a 5.3213
_cell_length_b 9.1883
_cell_length_c 12.0050
_cell_angle_alpha 90.00
_cell_angle_beta 114.99
_cell_angle_gamma 90.00
_symmetry_space_group_name_H-M 'P 1 21/c 1'
_symmetry_Int_Tables_number 14
_symmetry_space_group_name_Hall '-P 2ybc'
loop_
_atom_site_label
_atom_site_type_symbol
_atom_site_fract_x
_atom_site_fract_y
_atom_site_fract_z
Li1 Li 0.0185 0.0266 0.1759
Li2 Li 0.0558 0.6519 0.8867
Li3 Li 0.4253 0.0149 0.5954
Bi1 Bi 0.4732 0.6735 0.6239
B1 B 0.0387 0.1690 0.3803
B2 B 0.4638 0.1759 0.1316
O1 O 0.0582 0.1866 0.8466
O2 O 0.1662 0.6349 0.0801
O3 O 0.2149 0.0603 0.3759
O4 O 0.3135 0.6694 0.4012
O5 O 0.3263 0.0516 0.1393
O6 O 0.3703 0.1930 0.6602
```

The 10 most intense peaks (2θ from 10° to 90°), in order of falling intensity:
| 2theta | d/Å | I (rel.) |
| --- | --- | --- |
| 19.0 | 4.681 | 100.0 |
| 18.4 | 4.823 | 66.9 |
| 21.1 | 4.210 | 54.6 |
| 32.9 | 2.720 | 41.6 |
| 25.6 | 3.478 | 38.6 |
| 19.3 | 4.597 | 38.2 |
| 30.3 | 2.949 | 31.2 |
| 33.8 | 2.655 | 28.4 |
| 12.6 | 7.020 | 27.3 |
| 35.1 | 2.555 | 24.7 |